(1)
For Rb2TeP2, DFT lattice parameters and positions (GGA-PBE) gives the computed powder XRD pattern in this record (CuKα).

Principal peaks in the range 2θ = 15–90°, by angle:
26.38°, I 57; 29.56°, I 19; 30.01°, I 100; 31.47°, I 16; 48.88°, I 22; 55.40°, I 14

Structural model:
```
data_Rb2TeP2
_chemical_formula_sum 'Rb4 Te2 P4'
_cell_length_a 9.556
_cell_length_b 9.556
_cell_length_c 3.807
_cell_angle_alpha 90.00
_cell_angle_beta 90.00
_cell_angle_gamma 90.00
_symmetry_space_group_name_H-M 'P 4/m b m'
_symmetry_Int_Tables_number 127
_symmetry_space_group_name_Hall '-P 4 2ab'
loop_
_atom_site_label
_atom_site_type_symbol
_atom_site_fract_x
_atom_site_fract_y
_atom_site_fract_z
_atom_site_occupancy
Rb1 Rb 0.214 0.286 0.000 1
Te1 Te 0.000 0.000 0.500 1
P1 P 0.073 0.573 0.500 1
```

***

(2)
For Rb7Te6P, DFT lattice parameters and positions (GGA-PBE) gives the computed powder XRD pattern in this record (CuKα).

Principal peaks in the range 2θ = 15–90°, by angle:
20.15°, I 55; 21.77°, I 47; 21.94°, I 45; 23.71°, I 100; 28.78°, I 100; 31.16°, I 72

Structural model:
```
data_Rb7Te6P
_chemical_formula_sum 'Rb28 Te24 P4'
_cell_length_a 9.294
_cell_length_b 16.815
_cell_length_c 18.691
_cell_angle_alpha 90.00
_cell_angle_beta 90.00
_cell_angle_gamma 90.00
_symmetry_space_group_name_H-M 'I b a m'
_symmetry_Int_Tables_number 72
_symmetry_space_group_name_Hall '-I 2 2c'
loop_
_atom_site_label
_atom_site_type_symbol
_atom_site_fract_x
_atom_site_fract_y
_atom_site_fract_z
_atom_site_occupancy
Rb1 Rb 0.000 0.000 0.250 1
Rb2 Rb 0.157 0.287 0.122 1
Rb3 Rb 0.226 0.024 0.000 1
Te1 Te 0.055 0.167 0.500 1
Te2 Te 0.159 0.413 0.323 1
P1 P 0.000 0.500 0.250 1
```